[1]
Diffraction record for Ce2TcAs4. The X-ray powder pattern is computed, not measured: it uses a cell relaxed with PBE and Cu Kα (weighted mean of Kα1 and Kα2).

Cell and atoms:
Unit cell a=4.118 b=4.118 c=9.413 alpha=90.00 beta=90.00 gamma=90.00
Positions (direct):
Ce 0.000 0.500 0.246
Ce 0.500 0.000 0.754
Tc 0.000 0.000 0.500
As 0.000 0.000 0.000
As 0.000 0.500 0.636
As 0.500 0.000 0.364
As 0.500 0.500 0.000

The 12 most intense peaks (2θ from 5° to 70°), low angle first:
| two_theta | I/Imax |
| --- | --- |
| 23.6 | 35.7 |
| 28.8 | 23.2 |
| 32.2 | 9.8 |
| 36.0 | 46.5 |
| 36.3 | 100.0 |
| 38.2 | 10.3 |
| 44.0 | 44.5 |
| 53.5 | 27.4 |
| 58.1 | 23.0 |
| 59.7 | 11.1 |
| 63.9 | 14.4 |
| 67.9 | 11.0 |


[2]
Diffraction record for Ce2TeAs. The X-ray powder pattern is computed, not measured: it uses a cell relaxed with PBE and Cu Kα (weighted mean of Kα1 and Kα2).

Cell and atoms:
Unit cell a=4.317 b=6.183 c=8.801 alpha=90.00 beta=90.00 gamma=90.00
Positions (direct):
Ce 0.250 0.250 0.109
Ce 0.250 0.250 0.647
Ce 0.750 0.750 0.353
Ce 0.750 0.750 0.891
Te 0.250 0.750 0.622
Te 0.750 0.250 0.378
As 0.250 0.750 0.123
As 0.750 0.250 0.877

The 12 most intense peaks (2θ from 5° to 70°), low angle first:
| two_theta | I/Imax |
| --- | --- |
| 28.9 | 100.0 |
| 41.0 | 11.5 |
| 41.4 | 49.9 |
| 41.8 | 12.5 |
| 50.9 | 12.2 |
| 51.6 | 13.5 |
| 59.8 | 4.3 |
| 60.0 | 7.4 |
| 67.4 | 4.3 |
| 67.8 | 11.4 |
| 68.0 | 10.2 |
| 68.6 | 5.7 |


[3]
Diffraction record for Ce3TeAs. The X-ray powder pattern is computed, not measured: it uses a cell relaxed with PBE and Cu Kα (weighted mean of Kα1 and Kα2).

Cell and atoms:
Unit cell a=8.972 b=8.972 c=8.805 alpha=106.68 beta=106.68 gamma=26.90
Positions (direct):
Ce 0.012 0.012 0.232
Ce 0.171 0.171 0.563
Ce 0.175 0.175 0.093
Ce 0.825 0.825 0.907
Ce 0.829 0.829 0.437
Ce 0.988 0.988 0.768
Te 0.367 0.367 0.195
Te 0.633 0.633 0.805
As 0.351 0.351 0.686
As 0.649 0.649 0.314

The 12 most intense peaks (2θ from 5° to 70°), low angle first:
| two_theta | I/Imax |
| --- | --- |
| 22.0 | 34.4 |
| 26.4 | 36.4 |
| 29.5 | 98.7 |
| 31.1 | 100.0 |
| 31.8 | 53.7 |
| 32.2 | 81.9 |
| 34.4 | 84.6 |
| 36.1 | 63.7 |
| 37.2 | 94.4 |
| 41.0 | 55.3 |
| 43.4 | 57.5 |
| 55.0 | 35.9 |


[4]
Diffraction record for CeTh3As4. The X-ray powder pattern is computed, not measured: it uses a cell relaxed with PBE and Cu Kα (weighted mean of Kα1 and Kα2).

Cell and atoms:
Unit cell a=6.008 b=6.008 c=6.008 alpha=90.00 beta=90.00 gamma=90.00
Positions (direct):
Ce 0.000 0.000 0.000
Th 0.000 0.500 0.500
Th 0.500 0.000 0.500
Th 0.500 0.500 0.000
As 0.000 0.000 0.500
As 0.000 0.500 0.000
As 0.500 0.000 0.000
As 0.500 0.500 0.500

The 12 most intense peaks (2θ from 5° to 70°), low angle first:
| two_theta | I/Imax |
| --- | --- |
| 14.7 | 2.7 |
| 20.9 | 2.5 |
| 25.7 | 37.3 |
| 29.7 | 100.0 |
| 33.3 | 1.7 |
| 36.6 | 1.3 |
| 42.6 | 76.2 |
| 45.3 | 0.9 |
| 50.4 | 19.3 |
| 52.8 | 27.3 |
| 61.8 | 12.8 |
| 68.0 | 8.1 |


[5]
Diffraction record for CeTh3As6. The X-ray powder pattern is computed, not measured: it uses a cell relaxed with PBE and Cu Kα (weighted mean of Kα1 and Kα2).

Cell and atoms:
Unit cell a=10.096 b=10.096 c=10.096 alpha=34.64 beta=34.64 gamma=34.64
Positions (direct):
Ce 0.000 0.000 0.000
Th 0.235 0.235 0.235
Th 0.500 0.500 0.500
Th 0.765 0.765 0.765
As 0.245 0.753 0.753
As 0.247 0.247 0.755
As 0.247 0.755 0.247
As 0.753 0.245 0.753
As 0.753 0.753 0.245
As 0.755 0.247 0.247

The 12 most intense peaks (2θ from 5° to 70°), low angle first:
| two_theta | I/Imax |
| --- | --- |
| 9.3 | 21.4 |
| 18.7 | 27.6 |
| 21.2 | 99.6 |
| 27.9 | 17.7 |
| 29.7 | 48.2 |
| 30.4 | 30.2 |
| 35.0 | 21.6 |
| 36.8 | 100.0 |
| 38.0 | 21.4 |
| 43.1 | 55.5 |
| 48.0 | 27.1 |
| 61.7 | 23.4 |


[6]
Diffraction record for CeTm4As5. The X-ray powder pattern is computed, not measured: it uses a cell relaxed with PBE and Cu Kα (weighted mean of Kα1 and Kα2).

Cell and atoms:
Unit cell a=7.086 b=7.086 c=7.086 alpha=99.62 beta=99.62 gamma=131.75
Positions (direct):
Ce 0.000 0.000 0.000
Tm 0.199 0.601 0.800
Tm 0.399 0.199 0.598
Tm 0.601 0.801 0.402
Tm 0.801 0.399 0.200
As 0.100 0.303 0.403
As 0.303 0.900 0.202
As 0.500 0.500 0.000
As 0.697 0.100 0.798
As 0.900 0.697 0.597

The 6 most intense peaks (2θ from 5° to 70°), low angle first:
| two_theta | I/Imax |
| --- | --- |
| 26.7 | 23.9 |
| 30.9 | 100.0 |
| 44.3 | 74.5 |
| 52.4 | 11.7 |
| 55.0 | 26.2 |
| 64.4 | 12.2 |


[7]
Diffraction record for Ce2TmAs3. The X-ray powder pattern is computed, not measured: it uses a cell relaxed with PBE and Cu Kα (weighted mean of Kα1 and Kα2).

Cell and atoms:
Unit cell a=4.166 b=5.901 c=12.488 alpha=90.00 beta=90.00 gamma=90.00
Positions (direct):
Ce 0.000 0.000 0.168
Ce 0.000 0.000 0.832
Ce 0.500 0.500 0.332
Ce 0.500 0.500 0.668
Tm 0.000 0.000 0.500
Tm 0.500 0.500 0.000
As 0.000 0.500 0.162
As 0.000 0.500 0.500
As 0.000 0.500 0.838
As 0.500 0.000 0.000
As 0.500 0.000 0.338
As 0.500 0.000 0.662

The 10 most intense peaks (2θ from 5° to 70°), low angle first:
| two_theta | I/Imax |
| --- | --- |
| 16.6 | 0.6 |
| 26.2 | 19.0 |
| 30.3 | 100.0 |
| 43.4 | 74.6 |
| 51.4 | 9.4 |
| 53.9 | 26.3 |
| 63.0 | 4.1 |
| 63.2 | 8.1 |
| 69.5 | 3.2 |
| 69.6 | 0.7 |


[8]
Diffraction record for CeTm2As. The X-ray powder pattern is computed, not measured: it uses a cell relaxed with PBE and Cu Kα (weighted mean of Kα1 and Kα2).

Cell and atoms:
Unit cell a=3.663 b=3.663 c=7.473 alpha=90.00 beta=90.00 gamma=90.00
Positions (direct):
Ce 0.000 0.000 0.000
Tm 0.500 0.500 0.293
Tm 0.500 0.500 0.707
As 0.000 0.000 0.500

The 12 most intense peaks (2θ from 5° to 70°), low angle first:
| two_theta | I/Imax |
| --- | --- |
| 24.3 | 6.5 |
| 27.1 | 16.5 |
| 34.3 | 100.0 |
| 34.6 | 58.3 |
| 36.1 | 8.0 |
| 44.0 | 6.5 |
| 49.8 | 20.9 |
| 50.9 | 12.1 |
| 61.2 | 10.4 |
| 61.8 | 36.4 |
| 63.0 | 6.4 |
| 67.7 | 8.4 |


[9]
Diffraction record for Ce5Tm3As8. The X-ray powder pattern is computed, not measured: it uses a cell relaxed with PBE and Cu Kα (weighted mean of Kα1 and Kα2).

Cell and atoms:
Unit cell a=8.315 b=8.315 c=8.315 alpha=60.08 beta=60.08 gamma=60.08
Positions (direct):
Ce 0.000 0.000 0.000
Ce 0.000 0.500 0.500
Ce 0.500 0.000 0.500
Ce 0.500 0.500 0.000
Ce 0.500 0.500 0.500
Tm 0.000 0.000 0.500
Tm 0.000 0.500 0.000
Tm 0.500 0.000 0.000
As 0.244 0.750 0.750
As 0.247 0.247 0.247
As 0.250 0.250 0.756
As 0.250 0.756 0.250
As 0.750 0.244 0.750
As 0.750 0.750 0.244
As 0.753 0.753 0.753
As 0.756 0.250 0.250

The 9 most intense peaks (2θ from 5° to 70°), low angle first:
| two_theta | I/Imax |
| --- | --- |
| 13.0 | 1.1 |
| 26.2 | 19.5 |
| 30.4 | 100.0 |
| 43.5 | 74.5 |
| 51.5 | 9.6 |
| 54.0 | 26.2 |
| 63.2 | 12.2 |
| 69.6 | 3.0 |
| 69.7 | 1.0 |


[10]
Diffraction record for Ce3Tm5As8. The X-ray powder pattern is computed, not measured: it uses a cell relaxed with PBE and Cu Kα (weighted mean of Kα1 and Kα2).

Cell and atoms:
Unit cell a=8.235 b=8.235 c=8.235 alpha=60.08 beta=60.08 gamma=60.08
Positions (direct):
Ce 0.000 0.500 0.500
Ce 0.500 0.000 0.500
Ce 0.500 0.500 0.000
Tm 0.000 0.000 0.000
Tm 0.000 0.000 0.500
Tm 0.000 0.500 0.000
Tm 0.500 0.000 0.000
Tm 0.500 0.500 0.500
As 0.245 0.750 0.750
As 0.247 0.247 0.247
As 0.250 0.250 0.755
As 0.250 0.755 0.250
As 0.750 0.245 0.750
As 0.750 0.750 0.245
As 0.753 0.753 0.753
As 0.755 0.250 0.250

The 7 most intense peaks (2θ from 5° to 70°), low angle first:
| two_theta | I/Imax |
| --- | --- |
| 13.2 | 1.0 |
| 26.5 | 22.0 |
| 30.7 | 100.0 |
| 44.0 | 74.5 |
| 52.1 | 10.9 |
| 54.6 | 26.2 |
| 63.9 | 12.1 |


[11]
Diffraction record for Ce2YTmAs4. The X-ray powder pattern is computed, not measured: it uses a cell relaxed with PBE and Cu Kα (weighted mean of Kα1 and Kα2).

Cell and atoms:
Unit cell a=7.184 b=4.159 c=7.205 alpha=90.00 beta=109.52 gamma=90.00
Positions (direct):
Ce 0.000 0.000 0.000
Ce 0.000 0.500 0.500
Y 0.500 0.000 0.500
Tm 0.500 0.500 0.000
As 0.255 0.500 0.250
As 0.257 0.000 0.754
As 0.743 0.000 0.246
As 0.745 0.500 0.750

The 12 most intense peaks (2θ from 5° to 70°), low angle first:
| two_theta | I/Imax |
| --- | --- |
| 13.0 | 2.1 |
| 25.1 | 1.4 |
| 26.3 | 13.8 |
| 30.4 | 100.0 |
| 43.5 | 49.6 |
| 43.6 | 24.6 |
| 51.6 | 5.0 |
| 51.7 | 1.7 |
| 54.0 | 19.6 |
| 54.2 | 6.4 |
| 63.3 | 12.1 |
| 69.7 | 1.4 |


[12]
Diffraction record for Ce5Y3As8. The X-ray powder pattern is computed, not measured: it uses a cell relaxed with PBE and Cu Kα (weighted mean of Kα1 and Kα2).

Cell and atoms:
Unit cell a=8.362 b=8.362 c=8.362 alpha=60.06 beta=60.06 gamma=60.06
Positions (direct):
Ce 0.000 0.000 0.000
Ce 0.000 0.500 0.500
Ce 0.500 0.000 0.500
Ce 0.500 0.500 0.000
Ce 0.500 0.500 0.500
Y 0.000 0.000 0.500
Y 0.000 0.500 0.000
Y 0.500 0.000 0.000
As 0.247 0.750 0.750
As 0.249 0.249 0.249
As 0.250 0.250 0.753
As 0.250 0.753 0.250
As 0.750 0.247 0.750
As 0.750 0.750 0.247
As 0.751 0.751 0.751
As 0.753 0.250 0.250

The 12 most intense peaks (2θ from 5° to 70°), low angle first:
| two_theta | I/Imax |
| --- | --- |
| 13.0 | 2.1 |
| 25.0 | 1.8 |
| 26.1 | 9.3 |
| 30.2 | 100.0 |
| 33.0 | 1.1 |
| 39.6 | 0.6 |
| 43.3 | 74.1 |
| 45.3 | 0.6 |
| 51.2 | 4.4 |
| 53.7 | 26.0 |
| 62.8 | 12.0 |
| 69.2 | 1.8 |